No. 1
Computed X-ray diffraction stick pattern of LiVBO4 for Cu Kα X-rays, from a DFT-relaxed cell (PBE+U, Alexandria).
Neutral-atom scattering factors, no anomalous dispersion.

The 10 most intense peaks (10° ≤ 2θ ≤ 80°), in order of rising 2θ:
| (hkl) | 2θ (°) | d_spacing | I (rel.) |
| --- | --- | --- | --- |
| 2 0 0 | 18.6 | 4.781 | 100 |
| 1 1 1 | 20.5 | 4.340 | 37 |
| 2 2 0 | 22.6 | 3.931 | 35 |
| 0 4 0 | 25.8 | 3.452 | 41 |
| 1 3 1 | 27.5 | 3.244 | 35 |
| 2 2 1 | 28.5 | 3.137 | 31 |
| 2 4 0 | 32.0 | 2.799 | 16 |
| 3 3 1 | 38.5 | 2.341 | 12 |
| 1 7 1 | 50.4 | 1.811 | 12 |
| 2 6 2 | 56.8 | 1.622 | 13 |

Cell: 9.563 13.807 5.206 Å, 90.00 90.00 90.00°
Space group Ccc2 (No. 37)
Symmetry-distinct sites (fractional):
Li1 0.023 0.249 0.000 [8 per cell]
V1 0.229 0.402 0.301 [8 per cell]
B1 0.191 0.116 0.748 [8 per cell]
O1 0.076 0.344 0.267 [8 per cell]
O2 0.144 0.167 0.537 [8 per cell]
O3 0.166 0.141 0.995 [8 per cell]
O4 0.230 0.465 0.661 [8 per cell]

No. 2
Computed X-ray diffraction stick pattern of LiVBO4 for Cu Kα X-rays, from a DFT-relaxed cell (PBE+U, Alexandria).
Neutral-atom scattering factors, no anomalous dispersion.

The 10 most intense peaks (10° ≤ 2θ ≤ 80°), in order of rising 2θ:
| (hkl) | 2θ (°) | d_spacing | I (rel.) |
| --- | --- | --- | --- |
| 1 0 1 | 22.8 | 3.892 | 100 |
| 0 0 2 | 24.0 | 3.703 | 8 |
| 1 1 0 | 27.6 | 3.235 | 13 |
| 1 1 2 | 36.9 | 2.436 | 55 |
| 1 0 3 | 41.6 | 2.172 | 8 |
| 2 1 1 | 46.0 | 1.972 | 18 |
| 2 0 2 | 46.7 | 1.946 | 12 |
| 1 2 3 | 58.6 | 1.575 | 14 |
| 2 0 4 | 64.8 | 1.439 | 12 |
| 1 3 2 | 69.8 | 1.348 | 8 |

Cell: 4.575 4.575 7.405 Å, 90.00 90.00 90.00°
Space group I-4 (No. 82)
Symmetry-distinct sites (fractional):
Li1 0.000 0.000 0.000 [2 per cell]
V1 0.000 0.000 0.500 [2 per cell]
B1 0.000 0.500 0.250 [2 per cell]
O1 0.165 0.710 0.364 [8 per cell]

No. 3
Computed X-ray diffraction stick pattern of Li3VBO5 for Cu Kα X-rays, from a DFT-relaxed cell (PBE+U, Alexandria).
Neutral-atom scattering factors, no anomalous dispersion.

The 10 most intense peaks (10° ≤ 2θ ≤ 80°), in order of rising 2θ:
| (hkl) | 2θ (°) | d_spacing | I (rel.) |
| --- | --- | --- | --- |
| 1 1 0 | 18.9 | 4.702 | 22 |
| 1 2 0 | 21.1 | 4.207 | 87 |
| 0 3 1 | 24.9 | 3.569 | 100 |
| 1 1 1 | 26.7 | 3.335 | 31 |
| 1 2 1 | 28.4 | 3.144 | 37 |
| 1 5 0 | 33.0 | 2.718 | 59 |
| 2 0 0 | 36.6 | 2.455 | 29 |
| 0 0 2 | 38.0 | 2.365 | 58 |
| 1 5 1 | 38.2 | 2.356 | 26 |
| 1 5 2 | 51.2 | 1.784 | 22 |

Cell: 4.910 16.314 4.730 Å, 90.00 90.00 90.00°
Space group Pna2_1 (No. 33)
Symmetry-distinct sites (fractional):
Li1 0.131 0.210 0.000 [4 per cell]
Li2 0.173 0.994 0.013 [4 per cell]
Li3 0.221 0.614 0.017 [4 per cell]
V1 0.148 0.398 0.017 [4 per cell]
B1 0.210 0.792 0.997 [4 per cell]
O1 0.086 0.227 0.592 [4 per cell]
O2 0.200 0.607 0.581 [4 per cell]
O3 0.208 0.373 0.624 [4 per cell]
O4 0.209 0.995 0.589 [4 per cell]
O5 0.211 0.801 0.687 [4 per cell]

No. 4
Computed X-ray diffraction stick pattern of Li2VBO4 for Cu Kα X-rays, from a DFT-relaxed cell (PBE+U, Alexandria).
Neutral-atom scattering factors, no anomalous dispersion.

The 10 most intense peaks (10° ≤ 2θ ≤ 80°), in order of rising 2θ:
| (hkl) | 2θ (°) | d_spacing | I (rel.) |
| --- | --- | --- | --- |
| 1 1 1 | 22.7 | 3.918 | 100 |
| 2 0 0 | 25.6 | 3.484 | 18 |
| 0 2 1 | 28.3 | 3.157 | 13 |
| 1 1 2 | 33.9 | 2.644 | 41 |
| 2 2 0 | 35.5 | 2.526 | 50 |
| 2 2 1 | 38.5 | 2.339 | 13 |
| 3 1 1 | 43.4 | 2.086 | 13 |
| 1 1 3 | 47.5 | 1.914 | 10 |
| 1 3 2 | 49.2 | 1.851 | 22 |
| 3 3 2 | 62.8 | 1.480 | 21 |

Cell: 6.968 7.334 6.206 Å, 90.00 90.00 90.00°
Space group C222_1 (No. 20)
Symmetry-distinct sites (fractional):
Li1 0.000 0.196 0.250 [4 per cell]
Li2 0.173 0.500 0.500 [4 per cell]
V1 0.000 0.188 0.750 [4 per cell]
B1 0.182 0.500 0.000 [4 per cell]
O1 0.053 0.336 0.996 [8 per cell]
O2 0.198 0.001 0.700 [8 per cell]